No. 1
For Ta5GeB2, a cell relaxed with GGA-PBE gives the theoretical powder X-ray diffraction pattern in this record (Cu Kα).

Top 10 peaks for 2θ = 15–90°, by angle:
hkl 0 0 4, 2θ = 30.63°, I 19.3
hkl 2 1 1, 2θ = 32.78°, I 88.2
hkl 1 1 4, 2θ = 36.85°, I 49.8
hkl 2 1 3, 2θ = 39.56°, I 100.0
hkl 2 2 0, 2θ = 40.61°, I 19.0
hkl 2 0 4, 2θ = 42.27°, I 65.6
hkl 3 1 0, 2θ = 45.66°, I 59.7
hkl 2 1 7, 2θ = 65.03°, I 30.5
hkl 4 1 3, 2θ = 65.82°, I 20.3
hkl 3 3 4, 2θ = 71.43°, I 35.5

Atomic structure:
abc: 6.2829 6.2829 11.6741
angles: 90.00 90.00 90.00
Space group I4/mcm (No. 140)
Unique sites:
Ta 0.0000 0.0000 0.0000 (multiplicity 4)
Ta 0.1652 0.3348 0.1368 (multiplicity 16)
Ge 0.0000 0.0000 0.2500 (multiplicity 4)
B 0.1212 0.3788 0.5000 (multiplicity 8)

=====

No. 2
For Ti6Ge2B, a cell relaxed with GGA-PBE gives the theoretical powder X-ray diffraction pattern in this record (Cu Kα).

Top 10 peaks for 2θ = 15–90°, by angle:
hkl 1 1 1, 2θ = 37.45°, I 100.0
hkl 2 1 0, 2θ = 40.27°, I 52.5
hkl 2 0 1, 2θ = 40.53°, I 47.1
hkl 3 0 0, 2θ = 45.95°, I 30.1
hkl 2 1 1, 2θ = 48.82°, I 26.7
hkl 0 0 2, 2θ = 54.43°, I 15.7
hkl 2 1 2, 2θ = 69.83°, I 18.1
hkl 3 0 2, 2θ = 73.92°, I 13.5
hkl 3 2 1, 2θ = 75.39°, I 15.1
hkl 4 1 1, 2θ = 79.36°, I 19.0

Atomic structure:
abc: 6.8424 6.8424 3.3714
angles: 90.00 90.00 120.00
Space group P-62m (No. 189)
Unique sites:
Ti 0.0000 0.3925 0.0000 (multiplicity 3)
Ti 0.0000 0.7651 0.5000 (multiplicity 3)
Ge 0.3333 0.6667 0.5000 (multiplicity 2)
B 0.0000 0.0000 0.0000 (multiplicity 1)